1.
Starting from a DFT-relaxed cell (PBE, OQMD), the X-ray powder pattern of Cs2SnAuBr2Cl4 was computed for copper Kα.

Structure:
Cell: 7.6155 7.6155 11.0667 Å, 90.00 90.00 90.00°
Space group I4/mmm (No. 139)
Symmetry-distinct sites (fractional):
Cs1 0.0000 0.5000 0.2500
Sn1 0.0000 0.0000 0.0000
Au1 0.0000 0.0000 0.5000
Br1 0.0000 0.0000 0.2540
Cl1 0.2469 0.2469 0.0000

Largest 10 diffraction maxima, by angle, 15° ≤ 2θ ≤ 90°:
(hkl)  d [Å]  two_theta  Rel. int.
1 1 0  5.385  16.46  31.5
1 1 2  3.859  23.05  99.9
2 0 0  3.808  23.36  100.0
0 0 4  2.767  32.36  49.3
2 2 0  2.692  33.28  91.4
2 0 4  2.238  40.29  50.1
3 1 2  2.208  40.87  45.8
2 2 4  1.930  47.10  67.1
4 0 0  1.904  47.77  32.2
4 0 4  1.568  58.88  34.1


2.
Starting from a DFT-relaxed cell (PBE, OQMD), the X-ray powder pattern of Ta4Re11 was computed for copper Kα.

Structure:
Cell: 9.6717 9.6717 5.0732 Å, 90.00 90.00 90.00°
Space group P4_2/mnm (No. 136)
Symmetry-distinct sites (fractional):
Ta1 0.1834 0.1834 0.2503
Re1 0.0000 0.0000 0.0000
Re2 0.0355 0.6340 0.5000
Re3 0.0652 0.7377 0.0000
Re4 0.1011 0.8989 0.5000

Largest 10 diffraction maxima, by angle, 15° ≤ 2θ ≤ 90°:
(hkl)  d [Å]  two_theta  Rel. int.
0 0 2  2.537  35.39  22.4
4 1 0  2.346  38.37  84.0
3 3 0  2.280  39.53  37.8
2 0 2  2.246  40.14  33.4
2 1 2  2.188  41.26  65.6
4 1 1  2.129  42.46  100.0
3 3 1  2.079  43.52  47.4
5 3 2  1.388  67.47  20.0
4 1 3  1.372  68.39  24.7
4 1 4  1.116  87.42  16.9


3.
Starting from a DFT-relaxed cell (PBE, OQMD), the X-ray powder pattern of DyCd7 was computed for copper Kα.

Structure:
Cell: 7.3838 10.1927 9.4437 Å, 90.00 90.00 90.00°
Space group Cmcm (No. 63)
Symmetry-distinct sites (fractional):
Dy1 0.0000 0.0231 0.2500
Cd1 0.0000 0.2143 0.5194
Cd2 0.0000 0.4146 0.7500
Cd3 0.2005 0.3016 0.2500
Cd4 0.2078 0.5000 0.0000

Largest 10 diffraction maxima, by angle, 15° ≤ 2θ ≤ 90°:
(hkl)  d [Å]  two_theta  Rel. int.
2 2 1  2.850  31.38  15.0
1 3 2  2.584  34.72  30.8
0 4 0  2.548  35.22  11.5
2 2 2  2.526  35.54  100.0
0 4 1  2.460  36.52  14.8
0 0 4  2.361  38.12  31.6
3 5 0  1.570  58.82  11.8
2 2 6  1.393  67.22  12.9
3 5 4  1.307  72.27  11.7
5 3 2  1.302  72.63  11.3


4.
Starting from a DFT-relaxed cell (PBE, OQMD), the X-ray powder pattern of AgSO3F was computed for copper Kα.

Structure:
Cell: 8.6149 7.6713 4.6115 Å, 90.00 95.46 90.00°
Space group C2/m (No. 12)
Symmetry-distinct sites (fractional):
Ag1 0.0000 0.2372 0.0000
S1 0.2266 0.5000 0.6071
O1 0.1076 0.0000 0.2967
O2 0.1463 0.3398 0.6609
F1 0.2237 0.5000 0.2541

Largest 10 diffraction maxima, by angle, 15° ≤ 2θ ≤ 90°:
(hkl)  d [Å]  two_theta  Rel. int.
0 0 1  4.591  19.34  24.0
2 0 -1  3.294  27.07  52.1
2 0 1  2.995  29.84  56.0
0 2 1  2.943  30.37  82.6
2 2 0  2.859  31.29  100.0
2 2 1  2.360  38.12  32.8
2 0 -2  2.109  42.89  19.8
0 2 2  1.970  46.09  23.1
4 2 -1  1.786  51.16  17.7
2 4 -1  1.657  55.44  18.6